[1]
Structure and theoretical X-ray powder pattern of La2Pd5Au (a GGA-PBE-relaxed structure; CuKα).
Lines closer than 0.1° are merged.

Atomic structure:
Cell lengths 6.0835, 6.0835, 8.2942 Å; angles 90.00, 90.00, 90.00 degrees
Space group I4/mmm (No. 139)
Unique sites:
La1 0.0000 0.5000 0.0000 x4
Pd1 0.0000 0.0000 0.0000 x2
Pd2 0.2500 0.2500 0.2500 x8
Au1 0.0000 0.0000 0.5000 x2

Main lines, sorted by position (2θ = 10–80°):
| Position (°2θ) | intensity |
| --- | --- |
| 18.1 | 4 |
| 21.4 | 2 |
| 36.6 | 100 |
| 42.0 | 34 |
| 43.7 | 15 |
| 60.9 | 11 |
| 62.2 | 21 |
| 73.2 | 26 |
| 75.6 | 12 |
| 77.9 | 11 |



[2]
Structure and theoretical X-ray powder pattern of LaPr2Si4Pd2Au2 (a GGA-PBE-relaxed structure; CuKα).
Lines closer than 0.1° are merged.

Atomic structure:
Cell lengths 4.3098, 4.3100, 24.6850 Å; angles 90.00, 90.00, 90.00 degrees
Space group Immm (No. 71)
Unique sites:
La1 0.0000 0.0000 0.0000 x2
Pr1 0.0000 0.5000 0.3503 x4
Si1 0.0000 0.0000 0.4515 x4
Si2 0.0000 0.5000 0.1993 x4
Pd1 0.0000 0.0000 0.2492 x4
Au1 0.0000 0.5000 0.0985 x4

Main lines, sorted by position (2θ = 10–80°):
| Position (°2θ) | intensity |
| --- | --- |
| 20.9 | 10 |
| 27.5 | 19 |
| 32.8 | 100 |
| 38.9 | 16 |
| 41.9 | 32 |
| 45.6 | 12 |
| 54.2 | 11 |
| 60.8 | 11 |
| 68.1 | 10 |
| 70.8 | 19 |



[3]
Structure and theoretical X-ray powder pattern of LaZnPd2Au2 (a GGA-PBE-relaxed structure; CuKα).
Lines closer than 0.1° are merged.

Atomic structure:
Cell lengths 5.6754, 9.1731, 4.5317 Å; angles 90.00, 90.00, 90.00 degrees
Space group Cmmm (No. 65)
Unique sites:
La1 0.0000 0.0000 0.0000 x2
Zn1 0.0000 0.5000 0.5000 x2
Pd1 0.2500 0.2500 0.5000 x4
Au1 0.0000 0.3389 0.0000 x4

Main lines, sorted by position (2θ = 10–80°):
| Position (°2θ) | intensity |
| --- | --- |
| 18.4 | 18 |
| 19.6 | 22 |
| 31.5 | 18 |
| 33.3 | 44 |
| 37.4 | 71 |
| 38.9 | 100 |
| 39.8 | 44 |
| 42.4 | 23 |
| 52.8 | 24 |
| 61.1 | 27 |



[4]
Structure and theoretical X-ray powder pattern of LaPrSi3Au (a GGA-PBE-relaxed structure; CuKα).
Lines closer than 0.1° are merged.

Atomic structure:
Cell lengths 8.3420, 8.8245, 14.4168 Å; angles 90.00, 90.00, 90.00 degrees
Space group Fmmm (No. 69)
Unique sites:
La1 0.0000 0.2430 0.0000 x8
Pr1 0.2500 0.2500 0.2500 x8
Si1 0.0000 0.0000 0.1642 x8
Si2 0.2460 0.0000 0.0822 x16
Au1 0.0000 0.0000 0.3334 x8

Main lines, sorted by position (2θ = 10–80°):
| Position (°2θ) | intensity |
| --- | --- |
| 15.9 | 11 |
| 23.6 | 26 |
| 24.7 | 10 |
| 32.0 | 100 |
| 40.9 | 15 |
| 43.4 | 39 |
| 55.0 | 21 |
| 61.2 | 28 |
| 68.9 | 11 |
| 72.5 | 13 |



[5]
Structure and theoretical X-ray powder pattern of LaZn2PtAu (a GGA-PBE-relaxed structure; CuKα).
Lines closer than 0.1° are merged.

Atomic structure:
Cell lengths 4.6457, 4.6457, 9.4631 Å; angles 90.00, 90.00, 90.00 degrees
Space group I-4m2 (No. 119)
Unique sites:
La1 0.0000 0.0000 0.0000 x2
Zn1 0.0000 0.0000 0.3712 x4
Pt1 0.0000 0.5000 0.7500 x2
Au1 0.0000 0.5000 0.2500 x2

Main lines, sorted by position (2θ = 10–80°):
| Position (°2θ) | intensity |
| --- | --- |
| 18.8 | 25 |
| 33.2 | 100 |
| 34.4 | 20 |
| 38.8 | 55 |
| 43.4 | 12 |
| 47.4 | 22 |
| 55.4 | 13 |
| 56.0 | 19 |
| 65.7 | 16 |
| 66.7 | 27 |



[6]
Structure and theoretical X-ray powder pattern of LaSnAuSe3 (a GGA-PBE-relaxed structure; CuKα).
Lines closer than 0.1° are merged.

Atomic structure:
Cell lengths 11.7446, 4.3187, 12.2281 Å; angles 90.00, 90.00, 90.00 degrees
Space group Pnma (No. 62)
Unique sites:
La1 0.0182 0.2500 0.1933 x4
Sn1 0.1892 0.2500 0.4860 x4
Au1 0.2404 0.7500 0.2938 x4
Se1 0.0339 0.7500 0.3729 x4
Se2 0.0943 0.2500 0.9399 x4
Se3 0.2160 0.7500 0.6700 x4

Main lines, sorted by position (2θ = 10–80°):
| Position (°2θ) | intensity |
| --- | --- |
| 14.5 | 25 |
| 26.6 | 43 |
| 29.5 | 23 |
| 30.4 | 31 |
| 31.1 | 100 |
| 33.9 | 96 |
| 34.2 | 27 |
| 36.8 | 26 |
| 38.1 | 23 |
| 41.8 | 47 |



[7]
Structure and theoretical X-ray powder pattern of LaYSi2Au2 (a GGA-PBE-relaxed structure; CuKα).
Lines closer than 0.1° are merged.

Atomic structure:
Cell lengths 4.3712, 4.3712, 7.9787 Å; angles 90.00, 90.00, 120.00 degrees
Space group P3m1 (No. 156)
Unique sites:
La1 0.0000 0.0000 0.0000 x1
Y1 0.0000 0.0000 0.4954 x1
Si1 0.3333 0.6667 0.7165 x1
Si2 0.6667 0.3333 0.2365 x1
Au1 0.3333 0.6667 0.2804 x1
Au2 0.6667 0.3333 0.7369 x1

Main lines, sorted by position (2θ = 10–80°):
| Position (°2θ) | intensity |
| --- | --- |
| 26.1 | 76 |
| 32.6 | 100 |
| 41.3 | 59 |
| 41.5 | 20 |
| 45.5 | 12 |
| 49.5 | 14 |
| 53.6 | 24 |
| 63.1 | 27 |
| 66.4 | 12 |
| 69.8 | 22 |



[8]
Structure and theoretical X-ray powder pattern of LaZnSiAu2 (a GGA-PBE-relaxed structure; CuKα).
Lines closer than 0.1° are merged.

Atomic structure:
Cell lengths 4.3913, 4.3913, 10.7417 Å; angles 90.00, 90.00, 90.00 degrees
Space group I-4m2 (No. 119)
Unique sites:
La1 0.0000 0.0000 0.0000 x2
Zn1 0.0000 0.5000 0.2500 x2
Si1 0.0000 0.5000 0.7500 x2
Au1 0.0000 0.0000 0.3716 x4

Main lines, sorted by position (2θ = 10–80°):
| Position (°2θ) | intensity |
| --- | --- |
| 21.9 | 27 |
| 28.8 | 66 |
| 32.3 | 100 |
| 33.3 | 26 |
| 41.1 | 55 |
| 44.6 | 28 |
| 47.1 | 36 |
| 53.2 | 49 |
| 59.6 | 26 |
| 64.3 | 26 |



[9]
Structure and theoretical X-ray powder pattern of La2ZnSnAu4 (a GGA-PBE-relaxed structure; CuKα).
Lines closer than 0.1° are merged.

Atomic structure:
Cell lengths 4.7712, 4.7712, 9.5836 Å; angles 90.00, 90.00, 120.00 degrees
Space group P-3m1 (No. 164)
Unique sites:
La1 0.3333 0.6667 0.2517 x2
Zn1 0.0000 0.0000 0.5000 x1
Sn1 0.0000 0.0000 0.0000 x1
Au1 0.3333 0.6667 0.5762 x2
Au2 0.3333 0.6667 0.8950 x2

Main lines, sorted by position (2θ = 10–80°):
| Position (°2θ) | intensity |
| --- | --- |
| 21.5 | 24 |
| 35.5 | 100 |
| 37.7 | 83 |
| 43.7 | 8 |
| 52.8 | 33 |
| 62.3 | 13 |
| 66.7 | 33 |
| 68.1 | 15 |
| 71.0 | 9 |
| 75.2 | 8 |



[10]
Structure and theoretical X-ray powder pattern of SrLaAu2 (a GGA-PBE-relaxed structure; CuKα).
Lines closer than 0.1° are merged.

Atomic structure:
Cell lengths 4.9016, 4.0348, 11.3877 Å; angles 90.00, 90.00, 90.00 degrees
Space group Amm2 (No. 38)
Unique sites:
Sr1 0.0000 0.0000 0.0000 x2
La1 0.5000 0.0000 0.2716 x2
Au1 0.0000 0.0000 0.7251 x2
Au2 0.5000 0.0000 0.5530 x2

Main lines, sorted by position (2θ = 10–80°):
| Position (°2θ) | intensity |
| --- | --- |
| 15.6 | 20 |
| 23.4 | 22 |
| 29.7 | 94 |
| 31.4 | 28 |
| 36.5 | 29 |
| 36.7 | 37 |
| 37.3 | 100 |
| 44.9 | 21 |
| 66.5 | 19 |
| 68.7 | 19 |



[11]
Structure and theoretical X-ray powder pattern of LaTbAu6 (a GGA-PBE-relaxed structure; CuKα).
Lines closer than 0.1° are merged.

Atomic structure:
Cell lengths 5.0858, 6.3670, 5.1915 Å; angles 90.00, 90.00, 90.00 degrees
Space group Pmm2 (No. 25)
Unique sites:
La1 0.0000 0.0000 0.0000 x1
Tb1 0.5000 0.5000 0.3162 x1
Au1 0.0000 0.2699 0.4964 x2
Au2 0.0000 0.5000 0.9934 x1
Au3 0.5000 0.0000 0.3468 x1
Au4 0.5000 0.2546 0.8210 x2

Main lines, sorted by position (2θ = 10–80°):
| Position (°2θ) | intensity |
| --- | --- |
| 33.0 | 25 |
| 35.3 | 41 |
| 37.6 | 100 |
| 39.0 | 47 |
| 49.1 | 16 |
| 60.9 | 16 |
| 64.8 | 21 |
| 69.7 | 11 |
| 72.0 | 15 |
| 72.4 | 20 |



- Which formula does entry 2 have?
  LaPr2Si4Pd2Au2



- Which formula does entry 2 have?
  LaPr2Si4Pd2Au2